[1]
For TiVCN, a structure optimized by DFT (PBE) gives the calculated powder diffractogram in this record (Cu Kα (λ = 1.5418 Å)).

Most intense lines, 10° ≤ 2θ ≤ 80°, low angle first:
d 2.448, 36.72 deg, I 20, hkl 0 0 6; d 2.431, 36.97 deg, I 60, hkl 0 1 2; d 2.109, 42.88 deg, I 100, hkl 1 0 4; d 1.495, 62.08 deg, I 28, hkl 0 1 8; d 1.488, 62.42 deg, I 28, hkl 1 1 0; d 1.276, 74.34 deg, I 7, hkl 1 0 10; d 1.271, 74.66 deg, I 14, hkl 1 1 6; d 1.269, 74.82 deg, I 7, hkl 2 0 2; d 1.224, 78.09 deg, I 4, hkl 0 0 12; d 1.216, 78.71 deg, I 13, hkl 0 2 4

Crystal structure
Cell lengths 2.9754, 2.9754, 14.6862 Å; angles 90.00, 90.00, 120.00 degrees
Space group R3m (No. 160, hexagonal axes)
Inequivalent atoms, fractional coordinates:
Ti1 0.0000 0.0000 0.0000 (multiplicity 3)
V1 0.0000 0.0000 0.4956 (multiplicity 3)
C1 0.0000 0.0000 0.7507 (multiplicity 3)
N1 0.0000 0.0000 0.2467 (multiplicity 3)


[2]
For ZrTiCN, a structure optimized by DFT (PBE) gives the calculated powder diffractogram in this record (Cu Kα (λ = 1.5418 Å)).

Most intense lines, 10° ≤ 2θ ≤ 80°, low angle first:
d 5.180, 17.12 deg, I 19, hkl 0 0 3; d 2.713, 33.01 deg, I 14, hkl 1 0 1; d 2.595, 34.56 deg, I 100, hkl 0 0 6; d 2.248, 40.12 deg, I 96, hkl 1 0 4; d 2.062, 43.91 deg, I 7, hkl 0 1 5; d 1.591, 57.97 deg, I 30, hkl 1 1 0; d 1.588, 58.10 deg, I 29, hkl 0 1 8; d 1.356, 69.30 deg, I 30, hkl 1 1 6; d 1.354, 69.43 deg, I 10, hkl 1 0 10; d 1.299, 72.84 deg, I 14, hkl 0 2 4

Crystal structure
Cell lengths 3.1819, 3.1819, 15.5403 Å; angles 90.00, 90.00, 120.00 degrees
Space group R3m (No. 160, hexagonal axes)
Inequivalent atoms, fractional coordinates:
Zr1 0.0000 0.0000 0.0000 (multiplicity 3)
Ti1 0.0000 0.0000 0.4983 (multiplicity 3)
C1 0.0000 0.0000 0.7555 (multiplicity 3)
N1 0.0000 0.0000 0.2446 (multiplicity 3)


[3]
For Tm2C3N6, a structure optimized by DFT (PBE) gives the calculated powder diffractogram in this record (Cu Kα (λ = 1.5418 Å)).

Most intense lines, 10° ≤ 2θ ≤ 80°, low angle first:
d 5.172, 17.14 deg, I 100, hkl 0 0 1; d 3.621, 24.58 deg, I 64, hkl 1 1 0; d 3.523, 25.28 deg, I 57, hkl 4 0 0; d 3.069, 29.09 deg, I 39, hkl 4 0 -1; d 3.006, 29.72 deg, I 80, hkl 1 1 -1; d 2.626, 34.15 deg, I 27, hkl 3 1 -1; d 2.479, 36.24 deg, I 54, hkl 3 1 1; d 2.133, 42.38 deg, I 60, hkl 1 1 -2; d 1.877, 48.49 deg, I 24, hkl 3 1 2; d 1.775, 51.49 deg, I 39, hkl 5 1 -2

Crystal structure
Cell lengths 14.1753, 3.7472, 5.2024 Å; angles 90.00, 96.17, 90.00 degrees
Space group C2/m (No. 12)
Inequivalent atoms, fractional coordinates:
Tm1 0.1343 0.0000 0.0695 (multiplicity 4)
C1 0.0000 0.0000 0.5000 (multiplicity 2)
C2 0.1720 0.5000 0.5940 (multiplicity 4)
N1 0.0115 0.0000 0.7382 (multiplicity 4)
N2 0.1574 0.5000 0.3590 (multiplicity 4)
N3 0.1899 0.5000 0.8344 (multiplicity 4)


[4]
For U2CN, a structure optimized by DFT (PBE) gives the calculated powder diffractogram in this record (Cu Kα (λ = 1.5418 Å)).

Most intense lines, 10° ≤ 2θ ≤ 80°, low angle first:
d 2.856, 31.32 deg, I 100, hkl 0 1 2; d 2.778, 32.22 deg, I 31, hkl 0 0 6; d 2.456, 36.59 deg, I 83, hkl 1 0 4; d 1.755, 52.10 deg, I 30, hkl 1 1 0; d 1.719, 53.30 deg, I 28, hkl 0 1 8; d 1.495, 62.06 deg, I 16, hkl 2 0 2; d 1.484, 62.60 deg, I 30, hkl 1 1 6; d 1.462, 63.67 deg, I 14, hkl 1 0 10; d 1.428, 65.34 deg, I 16, hkl 0 2 4; d 1.228, 77.77 deg, I 10, hkl 2 0 8

Crystal structure
Cell lengths 3.5107, 3.5107, 16.6686 Å; angles 90.00, 90.00, 120.00 degrees
Space group R-3m (No. 166, hexagonal axes)
Inequivalent atoms, fractional coordinates:
U1 0.0000 0.0000 0.2487 (multiplicity 6)
C1 0.0000 0.0000 0.0000 (multiplicity 3)
N1 0.0000 0.0000 0.5000 (multiplicity 3)


[5]
For VC6N9, a structure optimized by DFT (PBE) gives the calculated powder diffractogram in this record (Cu Kα (λ = 1.5418 Å)).

Most intense lines, 10° ≤ 2θ ≤ 80°, low angle first:
d 6.549, 13.52 deg, I 100, hkl 0 2 0; d 5.771, 15.35 deg, I 58, hkl 0 0 2; d 5.490, 16.14 deg, I 47, hkl 1 1 1; d 4.330, 20.51 deg, I 18, hkl 0 2 2; d 4.237, 20.97 deg, I 41, hkl 1 1 2; d 3.540, 25.16 deg, I 64, hkl 1 3 1; d 3.317, 26.88 deg, I 90, hkl 0 2 3; d 3.275, 27.23 deg, I 61, hkl 0 4 0; d 3.150, 28.33 deg, I 23, hkl 0 4 1; d 2.040, 44.40 deg, I 16, hkl 2 4 3

Crystal structure
Cell lengths 7.0987, 13.0982, 11.5420 Å; angles 90.00, 90.00, 90.00 degrees
Space group Cmcm (No. 63)
Inequivalent atoms, fractional coordinates:
V1 0.0000 0.2230 0.2500 (multiplicity 4)
C1 0.1594 0.3528 0.5940 (multiplicity 16)
C2 0.1602 0.1191 0.7500 (multiplicity 8)
N1 0.0000 0.0723 0.7500 (multiplicity 4)
N2 0.0000 0.3792 0.5499 (multiplicity 8)
N3 0.1885 0.3439 0.2500 (multiplicity 8)
N4 0.1899 0.1682 0.1297 (multiplicity 16)


[6]
For W2C3N6, a structure optimized by DFT (PBE) gives the calculated powder diffractogram in this record (Cu Kα (λ = 1.5418 Å)).

Most intense lines, 10° ≤ 2θ ≤ 80°, low angle first:
d 5.158, 17.19 deg, I 91, hkl 0 0 6; d 4.234, 20.98 deg, I 59, hkl 0 1 2; d 3.826, 23.25 deg, I 47, hkl 1 0 4; d 2.906, 30.77 deg, I 21, hkl 0 1 8; d 2.542, 35.31 deg, I 44, hkl 1 1 0; d 2.280, 39.53 deg, I 100, hkl 1 1 6; d 1.810, 50.41 deg, I 51, hkl 1 1 12; d 1.467, 63.41 deg, I 23, hkl 3 0 0; d 1.424, 65.55 deg, I 21, hkl 1 1 18; d 1.411, 66.21 deg, I 17, hkl 3 0 6

Crystal structure
Cell lengths 5.0835, 5.0835, 30.9494 Å; angles 90.00, 90.00, 120.00 degrees
Space group R-3c (No. 167, hexagonal axes)
Inequivalent atoms, fractional coordinates:
W1 0.0000 0.0000 0.1665 (multiplicity 12)
C1 0.0000 0.3345 0.2500 (multiplicity 18)
N1 0.0057 0.3515 0.5436 (multiplicity 36)


[7]
For WC6N9, a structure optimized by DFT (PBE) gives the calculated powder diffractogram in this record (Cu Kα (λ = 1.5418 Å)).

Most intense lines, 10° ≤ 2θ ≤ 80°, low angle first:
d 6.843, 12.94 deg, I 76, hkl 0 2 0; d 5.508, 16.09 deg, I 40, hkl 0 0 2; d 5.452, 16.26 deg, I 100, hkl 1 1 1; d 4.291, 20.70 deg, I 29, hkl 0 2 2; d 3.619, 24.60 deg, I 54, hkl 1 3 1; d 3.169, 28.16 deg, I 37, hkl 1 1 3; d 3.142, 28.41 deg, I 17, hkl 2 2 0; d 2.726, 32.85 deg, I 16, hkl 2 2 2; d 2.651, 33.81 deg, I 17, hkl 1 3 3; d 2.244, 40.19 deg, I 14, hkl 2 4 2

Crystal structure
Cell lengths 7.0610, 13.6859, 11.0155 Å; angles 90.00, 90.00, 90.00 degrees
Space group Cmcm (No. 63)
Inequivalent atoms, fractional coordinates:
W1 0.0000 0.2294 0.2500 (multiplicity 4)
C1 0.1567 0.1177 0.7500 (multiplicity 8)
C2 0.1585 0.3495 0.5894 (multiplicity 16)
N1 0.0000 0.0685 0.7500 (multiplicity 4)
N2 0.0000 0.3690 0.5358 (multiplicity 8)
N3 0.1915 0.1678 0.1328 (multiplicity 16)
N4 0.1963 0.3406 0.2500 (multiplicity 8)